(1)
Starting from a structure optimized by DFT (PBE), the powder diffractogram of Lu3Pt was calculated for a wavelength of 1.5418 Å.
No peak broadening, texture or thermal motion is included.

Cell and atoms:
```
Lu3Pt
1.0
6.928 0.000 0.000
0.000 9.363 0.000
0.000 0.000 6.354
Lu Pt
12 4
Direct
0.029 0.250 0.131
0.181 0.062 0.679
0.181 0.438 0.679
0.319 0.562 0.179
0.319 0.938 0.179
0.471 0.750 0.631
0.529 0.250 0.369
0.681 0.062 0.821
0.681 0.438 0.821
0.819 0.562 0.321
0.819 0.938 0.321
0.971 0.750 0.869
0.110 0.750 0.453
0.390 0.250 0.953
0.610 0.750 0.047
0.890 0.250 0.547
```

Main lines, sorted by position (5° ≤ 2θ ≤ 70°):
2θ 30.93, rel. 72; 2θ 31.95, rel. 77; 2θ 32.15, rel. 75; 2θ 32.44, rel. 100; 2θ 34.54, rel. 67; 2θ 35.19, rel. 68



(2)
Starting from a structure optimized by DFT (PBE), the powder diffractogram of Bi2Pb6S9 was calculated for a wavelength of 1.5418 Å.
No peak broadening, texture or thermal motion is included.

Cell and atoms:
```
Bi2Pb6S9
1.0
2.074 -6.904 0.000
2.074 6.904 0.000
0.000 0.000 32.198
Bi Pb S
4 12 18
Direct
0.043 0.957 0.616
0.043 0.957 0.884
0.957 0.043 0.116
0.957 0.043 0.384
0.229 0.771 0.057
0.229 0.771 0.443
0.317 0.683 0.675
0.317 0.683 0.825
0.426 0.574 0.250
0.500 0.500 0.000
0.500 0.500 0.500
0.574 0.426 0.750
0.683 0.317 0.175
0.683 0.317 0.325
0.771 0.229 0.557
0.771 0.229 0.943
0.041 0.959 0.191
0.041 0.959 0.309
0.138 0.862 0.529
0.138 0.862 0.971
0.214 0.786 0.750
0.328 0.672 0.138
0.328 0.672 0.362
0.416 0.584 0.585
0.416 0.584 0.915
0.584 0.416 0.085
0.584 0.416 0.415
0.672 0.328 0.638
0.672 0.328 0.862
0.786 0.214 0.250
0.862 0.138 0.029
0.862 0.138 0.471
0.959 0.041 0.691
0.959 0.041 0.809
```

Main lines, sorted by position (5° ≤ 2θ ≤ 70°):
2θ 24.99, rel. 63; 2θ 25.62, rel. 100; 2θ 26.37, rel. 80; 2θ 30.17, rel. 95; 2θ 31.08, rel. 62; 2θ 42.78, rel. 60



(3)
Starting from a structure optimized by DFT (PBE), the powder diffractogram of PrMgS3 was calculated for a wavelength of 1.5418 Å.
No peak broadening, texture or thermal motion is included.

Cell and atoms:
```
PrMgS3
1.0
4.079 -5.724 0.000
4.079 5.724 0.000
-3.298 0.000 6.081
Pr Mg S
2 2 6
Direct
0.218 0.218 0.255
0.782 0.782 0.745
0.341 0.659 0.000
0.659 0.341 0.000
0.075 0.765 0.139
0.235 0.925 0.861
0.424 0.424 0.719
0.576 0.576 0.281
0.765 0.075 0.139
0.925 0.235 0.861
```

Main lines, sorted by position (5° ≤ 2θ ≤ 70°):
2θ 15.48, rel. 71; 2θ 15.92, rel. 100; 2θ 27.24, rel. 38; 2θ 29.39, rel. 48; 2θ 33.37, rel. 36; 2θ 34.03, rel. 37



(4)
Starting from a structure optimized by DFT (PBE), the powder diffractogram of UBrO5 was calculated for a wavelength of 1.5418 Å.
No peak broadening, texture or thermal motion is included.

Cell and atoms:
```
UBrO5
1.0
9.361 0.000 0.000
0.000 6.175 0.000
-2.490 0.000 10.517
U Br O
4 4 20
Direct
0.156 0.128 0.081
0.156 0.372 0.581
0.844 0.628 0.419
0.844 0.872 0.919
0.323 0.596 0.909
0.323 0.904 0.409
0.677 0.096 0.591
0.677 0.404 0.091
0.020 0.645 0.583
0.020 0.855 0.083
0.058 0.209 0.674
0.058 0.291 0.174
0.267 0.051 0.525
0.267 0.449 0.025
0.277 0.528 0.501
0.277 0.972 0.001
0.337 0.062 0.280
0.337 0.438 0.780
0.663 0.562 0.220
0.663 0.938 0.720
0.723 0.028 0.999
0.723 0.472 0.499
0.733 0.551 0.975
0.733 0.949 0.475
0.942 0.709 0.826
0.942 0.791 0.326
0.980 0.145 0.917
0.980 0.355 0.417
```

Main lines, sorted by position (5° ≤ 2θ ≤ 70°):
2θ 9.71, rel. 50; 2θ 17.39, rel. 53; 2θ 18.29, rel. 100; 2θ 22.20, rel. 45; 2θ 24.28, rel. 39; 2θ 28.73, rel. 43



(5)
Starting from a structure optimized by DFT (PBE), the powder diffractogram of Cs2PuO4 was calculated for a wavelength of 1.5418 Å.
No peak broadening, texture or thermal motion is included.

Cell and atoms:
```
Cs2PuO4
1.0
4.397 0.000 0.000
0.000 4.397 0.000
0.000 0.000 15.189
Cs Pu O
4 2 8
Direct
0.000 0.000 0.152
0.000 0.000 0.848
0.500 0.500 0.348
0.500 0.500 0.652
0.000 0.000 0.500
0.500 0.500 0.000
0.000 0.000 0.374
0.000 0.000 0.626
0.000 0.500 0.000
0.000 0.500 0.500
0.500 0.000 0.000
0.500 0.000 0.500
0.500 0.500 0.126
0.500 0.500 0.874
```

Main lines, sorted by position (5° ≤ 2θ ≤ 70°):
2θ 11.65, rel. 26; 2θ 26.86, rel. 100; 2θ 28.71, rel. 49; 2θ 41.06, rel. 24; 2θ 46.25, rel. 20; 2θ 49.74, rel. 38



(6)
Starting from a structure optimized by DFT (PBE), the powder diffractogram of Ba4Bi3F17 was calculated for a wavelength of 1.5418 Å.
No peak broadening, texture or thermal motion is included.

Cell and atoms:
```
Ba4Bi3F17
1.0
9.560 0.000 0.000
2.820 9.180 0.000
2.867 2.138 8.984
Ba Bi F
8 6 34
Direct
0.000 0.000 0.000
0.038 0.628 0.788
0.196 0.951 0.366
0.248 0.580 0.168
0.364 0.201 0.938
0.418 0.840 0.743
0.569 0.159 0.325
0.615 0.785 0.106
0.118 0.275 0.594
0.461 0.506 0.521
0.692 0.424 0.894
0.782 0.070 0.668
0.839 0.736 0.441
0.922 0.356 0.216
0.039 0.049 0.661
0.045 0.543 0.507
0.046 0.813 0.267
0.096 0.154 0.132
0.116 0.293 0.343
0.129 0.438 0.036
0.170 0.749 0.918
0.227 0.105 0.792
0.262 0.406 0.698
0.288 0.715 0.601
0.311 0.891 0.052
0.326 0.067 0.506
0.351 0.387 0.410
0.385 0.681 0.317
0.446 0.032 0.192
0.483 0.346 0.073
0.508 0.479 0.762
0.521 0.627 0.973
0.566 0.239 0.607
0.572 0.974 0.836
0.601 0.692 0.463
0.654 0.439 0.317
0.664 0.936 0.542
0.710 0.175 0.873
0.758 0.630 0.709
0.760 0.911 0.232
0.796 0.247 0.103
0.814 0.536 0.013
0.854 0.873 0.882
0.862 0.308 0.594
0.864 0.141 0.396
0.904 0.596 0.255
0.952 0.845 0.562
0.970 0.336 0.815
```

Main lines, sorted by position (5° ≤ 2θ ≤ 70°):
2θ 25.28, rel. 100; 2θ 25.42, rel. 97; 2θ 29.17, rel. 28; 2θ 29.42, rel. 28; 2θ 29.48, rel. 27; 2θ 41.94, rel. 92